For BaTh3, a GGA-PBE-relaxed structure gives the computed XRD peak list in this record (Cu Kα).
No peak broadening, texture or thermal motion is included.

Main lines, low angle first (15° ≤ 2θ ≤ 90°):
hkl 1 1 2, 2θ = 29.73°, I = 100; hkl 2 0 0, 2θ = 34.46°, I = 51; hkl 2 2 0, 2θ = 49.53°, I = 37; hkl 3 1 2, 2θ = 58.84°, I = 45; hkl 2 2 4, 2θ = 61.73°, I = 13; hkl 3 3 2, 2θ = 80.41°, I = 19; hkl 4 2 0, 2θ = 82.91°, I = 12; hkl 2 0 8, 2θ = 83.04°, I = 6

```
BaTh3
1.0
5.2086 0.0000 0.0000
0.0000 5.2086 0.0000
0.0000 0.0000 10.3982
Ba Th
2 6
Cartesian
0.0000 0.0000 0.0000
2.6043 2.6043 5.1991
0.0000 0.0000 5.1991
0.0000 2.6043 2.5996
0.0000 2.6043 7.7987
2.6043 0.0000 2.5996
2.6043 0.0000 7.7987
2.6043 2.6043 0.0000
```